The following is a computed powder X-ray diffraction pattern of YHo3Er4. It was derived from a crystal structure in Alexandria, relaxed with GGA-PBE, using λ = 1.5418 Å (Cu Kα).
Peak positions follow from Bragg's law for the DFT cell and can differ from measured ones.

Largest 6 diffraction maxima, sorted by position, 10° ≤ 2θ ≤ 90°:
| 2θ/deg | I (rel.) | hkl |
| --- | --- | --- |
| 28.61 | 242 | 0 0 2 |
| 32.13 | 236 | 4 0 0 |
| 32.90 | 1000 | 2 2 1 |
| 50.68 | 199 | 0 4 0 |
| 57.78 | 201 | 6 2 1 |
| 61.28 | 224 | 4 4 0 |

Atomic structure:
```
data_YHo3Er4
_chemical_formula_sum 'Y2 Ho6 Er8'
_cell_length_a 11.143
_cell_length_b 7.212
_cell_length_c 6.234
_cell_angle_alpha 90.00
_cell_angle_beta 90.00
_cell_angle_gamma 90.00
_space_group_name_H-M_alt 'P m n 21'
_space_group_IT_number 31
_space_group_name_Hall 'P 2ac -2'
loop_
_atom_site_label
_atom_site_type_symbol
_atom_site_fract_x
_atom_site_fract_y
_atom_site_fract_z
Y1 Y 0.000 0.126 0.000
Ho1 Ho 0.000 0.874 0.500
Ho2 Ho 0.250 0.126 0.334
Er1 Er 0.000 0.376 0.500
Er2 Er 0.000 0.624 0.999
Er3 Er 0.249 0.624 0.332
```